Diffraction record for ZrCrCuS4. The X-ray diffraction stick pattern is computed, not measured: it uses DFT lattice parameters and positions (GGA-PBE) and Cu Kα.

Main lines, in order of rising 2θ (2θ from 10° to 90°):
Position (°2θ), d (Å), intensity
15.0, 5.893, 20
24.6, 3.625, 17
24.7, 3.600, 24
28.9, 3.086, 100
29.2, 3.058, 54
35.0, 2.562, 44
35.5, 2.529, 21
46.0, 1.971, 34
46.6, 1.949, 15
50.4, 1.812, 39
50.7, 1.800, 77
63.1, 1.473, 13

Atomic structure:
Cell: 7.2000 7.2000 7.2000 Å, 119.53 90.73 119.62°
Atoms (fractional coordinates):
Zr  0.2495  0.2500  0.4995
Zr  0.7505  0.7500  0.5005
Cr  0.2484  0.2484  0.0000
Cr  0.2484  0.7484  0.5000
Cu  0.6273  0.9979  0.1294
Cu  0.8684  0.4979  0.8706
S  0.0079  0.2492  0.7586
S  0.0079  0.7493  0.2588
S  0.0173  0.2710  0.2463
S  0.0246  0.7710  0.7537
S  0.4723  0.7255  0.2468
S  0.4787  0.2255  0.7532
S  0.4906  0.2493  0.2414
S  0.4906  0.7492  0.7412

***

Diffraction record for ZrCrCuS4. The X-ray diffraction stick pattern is computed, not measured: it uses DFT lattice parameters and positions (GGA-PBE) and Cu Kα.

Main lines, in order of rising 2θ (2θ from 10° to 90°):
Position (°2θ), d (Å), intensity
14.6, 6.060, 33
14.9, 5.963, 53
28.9, 3.085, 55
31.6, 2.832, 27
33.4, 2.679, 100
40.0, 2.255, 55
40.9, 2.208, 49
43.4, 2.086, 51
45.0, 2.016, 36
52.0, 1.760, 45
53.4, 1.716, 41
61.2, 1.515, 24

Atomic structure:
Cell: 6.0005 7.1696 6.0978 Å, 90.00 96.40 90.00°
Atoms (fractional coordinates):
Zr  0.0000  0.0000  0.0000
Zr  0.0000  0.2767  0.5000
Cr  0.0000  0.5032  0.0000
Cr  0.0000  0.7655  0.5000
Cu  0.5000  0.3732  0.5000
Cu  0.5000  0.8066  0.5000
S  0.2290  0.7452  0.2009
S  0.2382  0.5298  0.7013
S  0.2473  0.0030  0.6807
S  0.2487  0.2701  0.1841
S  0.7513  0.2701  0.8159
S  0.7527  0.0030  0.3193
S  0.7618  0.5298  0.2987
S  0.7710  0.7452  0.7991

***

Diffraction record for ZrCrCuS4. The X-ray diffraction stick pattern is computed, not measured: it uses DFT lattice parameters and positions (GGA-PBE) and Cu Kα.

Main lines, in order of rising 2θ (2θ from 10° to 90°):
Position (°2θ), d (Å), intensity
14.2, 6.253, 96
18.8, 4.710, 32
21.7, 4.090, 37
29.1, 3.065, 100
29.3, 3.051, 51
34.5, 2.602, 38
34.8, 2.580, 80
44.3, 2.045, 28
44.9, 2.020, 56
48.3, 1.883, 64
50.6, 1.804, 34
51.2, 1.785, 60

Atomic structure:
Cell: 6.5682 6.5682 6.1632 Å, 97.76 97.76 31.88°
Atoms (fractional coordinates):
Zr  0.0000  0.0000  0.0000
Cr  0.4963  0.4963  0.4892
Cu  0.7140  0.7140  0.5537
S  0.1180  0.1180  0.3720
S  0.3853  0.3853  0.1371
S  0.6149  0.6149  0.8442
S  0.8912  0.8912  0.6059

***

Repeat the second record exactly.
Diffraction record for ZrCrCuS4. The X-ray diffraction stick pattern is computed, not measured: it uses DFT lattice parameters and positions (GGA-PBE) and Cu Kα.

Main lines, in order of rising 2θ (2θ from 10° to 90°):
Position (°2θ), d (Å), intensity
14.6, 6.060, 33
14.9, 5.963, 53
28.9, 3.085, 55
31.6, 2.832, 27
33.4, 2.679, 100
40.0, 2.255, 55
40.9, 2.208, 49
43.4, 2.086, 51
45.0, 2.016, 36
52.0, 1.760, 45
53.4, 1.716, 41
61.2, 1.515, 24

Atomic structure:
Cell: 6.0005 7.1696 6.0978 Å, 90.00 96.40 90.00°
Atoms (fractional coordinates):
Zr  0.0000  0.0000  0.0000
Zr  0.0000  0.2767  0.5000
Cr  0.0000  0.5032  0.0000
Cr  0.0000  0.7655  0.5000
Cu  0.5000  0.3732  0.5000
Cu  0.5000  0.8066  0.5000
S  0.2290  0.7452  0.2009
S  0.2382  0.5298  0.7013
S  0.2473  0.0030  0.6807
S  0.2487  0.2701  0.1841
S  0.7513  0.2701  0.8159
S  0.7527  0.0030  0.3193
S  0.7618  0.5298  0.2987
S  0.7710  0.7452  0.7991